The following is a computed X-ray powder pattern of BeGaAu3. It was derived from a DFT-relaxed cell (PBE, Alexandria), using Cu Kα (weighted mean of Kα1 and Kα2).

Structure:
Unit cell a=3.091 b=7.441 c=7.309 alpha=90.00 beta=90.00 gamma=90.00
Space group Pmmn (No. 59, origin choice 2)
Inequivalent atoms, fractional coordinates:
Be: 0.250 0.250 0.022
Ga: 0.250 0.250 0.596
Au: 0.250 0.556 0.164
Au: 0.250 0.750 0.702

The 12 most intense peaks (2θ = 15–90°), by angle:
(hkl)	two_theta	Rel. int.
0 0 2	24.36	37
0 2 1	26.89	42
0 1 2	27.19	15
1 1 0	31.35	31
1 0 2	38.13	67
0 3 1	38.32	46
1 2 1	39.87	100
1 1 2	40.08	28
0 2 3	44.45	36
1 0 4	58.70	15
1 3 3	61.18	28
1 3 5	82.79	16

---

The following is a computed X-ray powder pattern of LaBeGaAu2. It was derived from a DFT-relaxed cell (PBE, Alexandria), using Cu Kα (weighted mean of Kα1 and Kα2).

Structure:
Unit cell a=4.699 b=4.699 c=4.571 alpha=90.00 beta=90.00 gamma=90.00
Space group P4/mmm (No. 123)
Inequivalent atoms, fractional coordinates:
La: 0.000 0.000 0.000
Be: 0.500 0.500 0.500
Ga: 0.500 0.500 0.000
Au: 0.000 0.500 0.500

The 12 most intense peaks (2θ = 15–90°), by angle:
(hkl)	two_theta	Rel. int.
0 0 1	19.42	9
1 1 0	26.83	8
1 1 1	33.34	100
2 0 0	38.31	36
0 0 2	39.42	17
2 0 1	43.30	5
2 2 0	55.30	12
2 0 2	56.14	24
3 1 1	66.13	28
1 1 3	67.64	13
2 2 2	70.02	12
4 0 0	82.03	4

---

The following is a computed X-ray powder pattern of Nd2BeGa3Au4. It was derived from a DFT-relaxed cell (PBE, Alexandria), using Cu Kα (weighted mean of Kα1 and Kα2).

Structure:
Unit cell a=4.404 b=4.404 c=10.331 alpha=90.00 beta=90.00 gamma=90.00
Space group P-4m2 (No. 115)
Inequivalent atoms, fractional coordinates:
Nd: 0.000 0.500 0.241
Be: 0.500 0.500 0.000
Ga: 0.000 0.000 0.000
Ga: 0.000 0.500 0.638
Au: 0.000 0.000 0.500
Au: 0.000 0.500 0.881
Au: 0.500 0.500 0.500

The 12 most intense peaks (2θ = 15–90°), by angle:
(hkl)	two_theta	Rel. int.
0 0 3	25.87	19
1 1 1	29.97	65
1 0 3	33.02	83
1 1 2	33.60	100
2 0 0	40.99	87
1 1 4	45.63	40
1 0 5	48.68	25
2 1 3	53.61	42
2 2 0	59.36	29
1 1 6	61.54	27
2 1 5	65.47	21
3 1 2	69.97	24

---

The following is a computed X-ray powder pattern of NdBe2GaAu4. It was derived from a DFT-relaxed cell (PBE, Alexandria), using Cu Kα (weighted mean of Kα1 and Kα2).

Structure:
Unit cell a=4.1706 b=4.1706 c=29.0145 alpha=90.00 beta=90.00 gamma=120.00
Space group R-3m (No. 166, hexagonal axes)
Inequivalent atoms, fractional coordinates:
Nd: 0.0000 0.0000 0.0000
Be: 0.0000 0.0000 0.2469
Ga: 0.0000 0.0000 0.5000
Au: 0.0000 0.0000 0.1238
Au: 0.0000 0.0000 0.4003

The 12 most intense peaks (2θ = 15–90°), by angle:
(hkl)	two_theta	Rel. int.
0 1 2	25.41	44
1 0 4	27.59	74
1 0 7	32.89	43
0 1 8	35.06	95
1 0 10	39.85	49
0 1 11	42.44	27
1 1 0	43.39	100
2 0 8	56.96	24
0 2 10	60.37	14
1 1 15	65.86	29
1 2 8	74.23	22
3 0 0	79.63	17

---

The following is a computed X-ray powder pattern of Pr2BeGa2Au4. It was derived from a DFT-relaxed cell (PBE, Alexandria), using Cu Kα (weighted mean of Kα1 and Kα2).

Structure:
Unit cell a=6.564 b=6.564 c=8.659 alpha=90.00 beta=90.00 gamma=90.00
Space group I4/mmm (No. 139)
Inequivalent atoms, fractional coordinates:
Pr: 0.000 0.500 0.250
Be: 0.000 0.000 0.000
Ga: 0.000 0.000 0.307
Au: 0.246 0.246 0.500

The 12 most intense peaks (2θ = 15–90°), by angle:
(hkl)	two_theta	Rel. int.
0 0 2	20.51	10
2 0 0	27.17	8
2 0 2	34.28	100
2 2 0	38.80	39
0 0 4	41.73	13
2 2 2	44.28	6
2 0 4	50.51	6
4 0 0	56.04	13
2 2 4	58.29	19
4 2 2	67.36	28
2 0 6	71.40	9
4 0 4	72.24	10

---

The following is a computed X-ray powder pattern of Pu2BeGa3Au4. It was derived from a DFT-relaxed cell (PBE, Alexandria), using Cu Kα (weighted mean of Kα1 and Kα2).

Structure:
Unit cell a=4.340 b=4.340 c=10.532 alpha=90.00 beta=90.00 gamma=90.00
Space group P-4m2 (No. 115)
Inequivalent atoms, fractional coordinates:
Pu: 0.000 0.500 0.241
Be: 0.500 0.500 0.000
Ga: 0.000 0.000 0.000
Ga: 0.000 0.500 0.641
Au: 0.000 0.000 0.500
Au: 0.000 0.500 0.879
Au: 0.500 0.500 0.500

The 12 most intense peaks (2θ = 15–90°), by angle:
(hkl)	two_theta	Rel. int.
1 1 0	29.10	23
1 1 1	30.33	43
1 0 3	32.81	84
1 1 2	33.80	100
2 0 0	41.62	70
1 0 5	48.01	29
2 1 3	53.98	42
2 2 0	60.32	24
1 1 6	60.79	17
2 1 5	65.38	23
3 1 2	70.96	24
2 0 8	86.46	16

---

The following is a computed X-ray powder pattern of GdHoBeAu. It was derived from a DFT-relaxed cell (PBE, Alexandria), using Cu Kα (weighted mean of Kα1 and Kα2).

Structure:
Unit cell a=7.087 b=7.087 c=7.087 alpha=90.00 beta=90.00 gamma=90.00
Space group F-43m (No. 216)
Inequivalent atoms, fractional coordinates:
Gd: 0.000 0.000 0.000
Ho: 0.000 0.000 0.500
Be: 0.250 0.250 0.250
Au: 0.250 0.250 0.750

The 12 most intense peaks (2θ = 15–90°), by angle:
(hkl)	two_theta	Rel. int.
1 1 1	21.72	31
2 0 0	25.13	6
2 2 0	35.84	100
3 1 1	42.30	17
4 0 0	51.59	18
3 3 1	56.61	7
4 2 0	58.22	2
4 2 2	64.41	37
5 1 1	68.84	6
4 4 0	75.96	11
5 3 1	80.12	6
6 2 0	86.94	17

---

The following is a computed X-ray powder pattern of Be2GeAu8. It was derived from a DFT-relaxed cell (PBE, Alexandria), using Cu Kα (weighted mean of Kα1 and Kα2).

Structure:
Unit cell a=7.557 b=11.154 c=4.577 alpha=90.00 beta=106.99 gamma=90.00
Space group C2/m (No. 12)
Inequivalent atoms, fractional coordinates:
Be: 0.000 0.181 0.000
Ge: 0.000 0.500 0.500
Au: 0.000 0.253 0.500
Au: 0.118 0.000 0.316
Au: 0.199 0.368 0.086

The 12 most intense peaks (2θ = 15–90°), by angle:
(hkl)	two_theta	Rel. int.
1 3 0	26.99	38
2 2 -1	31.50	46
1 3 -1	31.66	40
2 0 1	36.58	87
3 1 -1	37.87	61
0 4 1	38.27	100
1 1 -2	40.23	51
2 4 0	40.88	62
3 3 0	44.79	42
2 4 2	65.13	37
3 7 -1	70.73	25
2 8 1	78.96	19

---

The following is a computed X-ray powder pattern of BeGeAu2O. It was derived from a DFT-relaxed cell (PBE, Alexandria), using Cu Kα (weighted mean of Kα1 and Kα2).

Structure:
Unit cell a=4.540 b=4.540 c=4.242 alpha=90.00 beta=90.00 gamma=90.00
Space group P4/mmm (No. 123)
Inequivalent atoms, fractional coordinates:
Be: 0.000 0.000 0.000
Ge: 0.500 0.500 0.000
Au: 0.000 0.500 0.500
O: 0.500 0.500 0.500

The 12 most intense peaks (2θ = 15–90°), by angle:
(hkl)	two_theta	Rel. int.
0 0 1	20.94	46
1 1 0	27.79	37
1 1 1	35.05	100
2 0 0	39.71	41
0 0 2	42.63	17
2 0 1	45.31	25
1 1 2	51.65	15
2 2 0	57.41	14
2 0 2	59.66	25
3 1 1	69.07	29
1 1 3	73.13	12
2 2 2	74.07	13

---

The following is a computed X-ray powder pattern of Sm2Be4Ge3Au. It was derived from a DFT-relaxed cell (PBE, Alexandria), using Cu Kα (weighted mean of Kα1 and Kα2).

Structure:
Unit cell a=4.015 b=4.015 c=9.931 alpha=90.00 beta=90.00 gamma=90.00
Space group P-4m2 (No. 115)
Inequivalent atoms, fractional coordinates:
Sm: 0.000 0.500 0.245
Be: 0.000 0.000 0.000
Be: 0.000 0.500 0.635
Be: 0.500 0.500 0.000
Ge: 0.000 0.500 0.868
Ge: 0.500 0.500 0.500
Au: 0.000 0.000 0.500

The 12 most intense peaks (2θ = 15–90°), by angle:
(hkl)	two_theta	Rel. int.
1 0 1	23.91	38
0 0 3	26.93	24
1 0 2	28.59	15
1 1 1	32.81	49
1 0 3	35.14	53
1 1 2	36.46	100
2 0 0	45.17	43
1 0 5	51.32	21
2 0 3	53.38	15
2 1 3	58.48	24
2 1 5	70.73	16
3 1 2	77.62	22

---

The following is a computed X-ray powder pattern of BeHAu. It was derived from a DFT-relaxed cell (PBE, Alexandria), using Cu Kα (weighted mean of Kα1 and Kα2).

Structure:
Unit cell a=12.664 b=2.851 c=3.859 alpha=90.00 beta=105.80 gamma=90.00
Space group Cm (No. 8)
Inequivalent atoms, fractional coordinates:
Be: 0.000 0.000 0.000
Be: 0.126 0.000 0.709
H: 0.120 0.000 0.079
H: 0.160 0.500 0.582
Au: 0.302 0.500 0.823
Au: 0.452 0.000 0.448

The 12 most intense peaks (2θ = 15–90°), by angle:
(hkl)	two_theta	Rel. int.
0 0 1	23.97	26
2 0 -1	24.44	44
2 0 1	31.45	78
1 1 0	32.24	30
4 0 -1	32.55	76
3 1 0	38.58	100
1 1 -1	39.30	98
1 1 1	41.82	35
6 0 0	44.63	47
2 0 -2	47.13	30
5 1 0	49.19	29
5 1 -2	63.14	24

---

The following is a computed X-ray powder pattern of Sr2BeH6Au. It was derived from a DFT-relaxed cell (PBE, Alexandria), using Cu Kα (weighted mean of Kα1 and Kα2).

Structure:
Unit cell a=5.2242 b=5.2242 c=16.1653 alpha=90.00 beta=90.00 gamma=120.00
Space group R3m (No. 160, hexagonal axes)
Inequivalent atoms, fractional coordinates:
Sr: 0.0000 0.0000 0.0000
Sr: 0.0000 0.0000 0.4983
Be: 0.0000 0.0000 0.7655
H: 0.0454 0.5227 0.5267
H: 0.1862 0.3724 0.3930
Au: 0.0000 0.0000 0.2288

The 12 most intense peaks (2θ = 15–90°), by angle:
(hkl)	two_theta	Rel. int.
0 0 3	16.45	34
1 0 1	20.38	65
1 0 4	29.64	100
0 1 5	34.08	20
1 1 0	34.33	72
1 1 3	38.29	28
0 2 4	45.98	30
0 1 8	49.40	20
2 1 4	58.62	29
3 0 0	61.51	23
2 2 0	72.38	21
1 3 4	80.07	14

---

The following is a computed X-ray powder pattern of HfBe6Au6. It was derived from a DFT-relaxed cell (PBE, Alexandria), using Cu Kα (weighted mean of Kα1 and Kα2).

Structure:
Unit cell a=4.859 b=8.460 c=8.634 alpha=90.00 beta=90.00 gamma=90.00
Space group Immm (No. 71)
Inequivalent atoms, fractional coordinates:
Hf: 0.000 0.000 0.000
Be: 0.000 0.258 0.500
Be: 0.250 0.250 0.250
Au: 0.000 0.000 0.337
Au: 0.000 0.330 0.000
Au: 0.000 0.500 0.330

The 12 most intense peaks (2θ = 15–90°), by angle:
(hkl)	two_theta	Rel. int.
0 2 0	21.00	59
1 2 1	29.86	32
0 3 1	33.43	21
1 0 3	36.28	100
2 0 0	37.00	48
1 2 3	42.29	42
1 3 2	42.58	26
2 2 0	42.93	20
2 2 2	48.07	19
1 4 3	57.29	19
3 0 3	66.24	26
1 6 3	77.98	23

---

The following is a computed X-ray powder pattern of Be3HgAu10. It was derived from a DFT-relaxed cell (PBE, Alexandria), using Cu Kα (weighted mean of Kα1 and Kα2).

Structure:
Unit cell a=12.404 b=12.404 c=12.404 alpha=90.00 beta=90.00 gamma=90.00
Space group Fm-3m (No. 225)
Inequivalent atoms, fractional coordinates:
Be: 0.000 0.000 0.226
Hg: 0.250 0.250 0.250
Au: 0.000 0.168 0.332
Au: 0.116 0.116 0.116

The 12 most intense peaks (2θ = 15–90°), by angle:
(hkl)	two_theta	Rel. int.
4 0 0	28.79	13
4 2 0	32.28	46
4 2 2	35.45	25
3 3 3	37.68	100
4 4 0	41.17	17
5 3 1	43.15	47
6 2 2	48.69	12
6 4 4	61.66	16
6 6 0	63.66	28
5 5 5	65.13	14
9 1 1	68.97	15
8 4 4	75.03	18